Simulated X-ray powder pattern
Compound: BaCrCdF6
Radiation: Cu Kα, 1.54184 Å
Structure: a crystal structure in Alexandria, relaxed with GGA+U
Neutral-atom scattering factors, no anomalous dispersion.

Largest 8 diffraction maxima, in order of rising 2θ, 2θ from 15° to 90°:
2θ (°)	I/Imax	hkl
23.19	100	1 1 -1
23.97	89	1 1 1
24.15	92	0 2 1
29.87	31	2 0 0
31.22	54	1 3 0
44.85	31	1 3 -2
45.72	46	1 3 2
53.88	29	3 3 0

```
data_BaCrCdF6
_symmetry_space_group_name_H-M 'C 1 2 1'
_symmetry_Int_Tables_number 5
_cell_length_a 5.9869
_cell_length_b 9.7921
_cell_length_c 5.6025
_cell_angle_alpha 90.00
_cell_angle_beta 92.18
_cell_angle_gamma 90.00
loop_
_symmetry_equiv_pos_as_xyz
'x,y,z'
'-x,y,-z'
'x+1/2,y+1/2,z'
'-x+1/2,y+1/2,-z'
loop_
_atom_site_label
_atom_site_fract_x
_atom_site_fract_y
_atom_site_fract_z
_atom_site_occupancy
Ba1 0.0000 0.0000 0.0000 1
Cr1 0.0000 0.6735 0.5000 1
Cd1 0.0000 0.3335 0.5000 1
F1 0.1425 0.5197 0.7018 1
F2 0.1684 0.8203 0.6959 1
F3 0.1822 0.1895 0.7420 1
```